# 1
Li6AlHg2: theoretical X-ray diffraction stick pattern (Cu Ka), based on a DFT-relaxed cell (PBE, Alexandria).
Kinematic intensities with the Lorentz-polarization factor, no thermal factor.

Crystal structure
a b c (Å): 9.5744 4.6119 7.1546
angles (deg): 90.00 103.63 90.00
Space group C2/m (No. 12)
One atom of each set of equivalent atoms:
1 Li 0.1080 0.0000 0.1665
2 Li 0.1719 0.5000 0.5013
3 Li 0.2286 0.0000 0.8367
4 Al 0.0000 0.0000 0.5000
5 Hg 0.0622 0.5000 0.8187

The 10 most intense peaks (10° ≤ 2θ ≤ 90°), by angle:
| 2θ/deg | I_rel | index |
| --- | --- | --- |
| 12.73 | 26 | 0 0 1 |
| 19.08 | 52 | 2 0 0 |
| 21.50 | 100 | 1 1 0 |
| 25.42 | 35 | 2 0 1 |
| 26.21 | 52 | 1 1 1 |
| 28.19 | 31 | 2 0 -2 |
| 31.86 | 47 | 1 1 -2 |
| 39.07 | 25 | 0 2 0 |
| 39.27 | 37 | 3 1 -2 |
| 39.65 | 40 | 3 1 1 |



# 2
Sm2MgS4: theoretical X-ray diffraction stick pattern (Cu Ka), based on a DFT-relaxed cell (PBE, Alexandria).
Kinematic intensities with the Lorentz-polarization factor, no thermal factor.

Crystal structure
a b c (Å): 6.6558 7.2622 13.7889
angles (deg): 90.00 90.00 90.00
Space group Pbca (No. 61)
One atom of each set of equivalent atoms:
1 Sm 0.0042 0.1036 0.1425
2 Mg 0.0000 0.0000 0.5000
3 S 0.1259 0.5378 0.8194
4 S 0.1843 0.6869 0.5425

The 10 most intense peaks (10° ≤ 2θ ≤ 90°), by angle:
| 2θ/deg | I_rel | index |
| --- | --- | --- |
| 19.20 | 60 | 1 1 1 |
| 22.24 | 100 | 1 1 2 |
| 25.37 | 41 | 0 2 1 |
| 26.57 | 76 | 1 1 3 |
| 26.79 | 41 | 2 0 0 |
| 37.22 | 49 | 2 2 1 |
| 37.57 | 31 | 2 0 4 |
| 41.10 | 32 | 0 2 5 |
| 41.80 | 72 | 1 3 2 |
| 47.18 | 40 | 3 1 3 |



# 3
Sm2CdC: theoretical X-ray diffraction stick pattern (Cu Ka), based on a DFT-relaxed cell (PBE, Alexandria).
Kinematic intensities with the Lorentz-polarization factor, no thermal factor.

Crystal structure
a b c (Å): 5.2086 10.2212 7.6925
angles (deg): 90.00 90.00 90.00
Space group Ima2 (No. 46)
One atom of each set of equivalent atoms:
1 Sm 0.2500 0.1088 0.0000
2 Sm 0.2500 0.6949 0.1858
3 Cd 0.2500 0.0751 0.4304
4 C 0.2500 0.6237 0.4807

The 10 most intense peaks (10° ≤ 2θ ≤ 90°), by angle:
| 2θ/deg | I_rel | index |
| --- | --- | --- |
| 27.05 | 48 | 1 2 1 |
| 29.06 | 34 | 0 2 2 |
| 30.18 | 100 | 1 1 2 |
| 31.37 | 67 | 1 3 0 |
| 34.44 | 48 | 2 0 0 |
| 36.11 | 16 | 0 1 3 |
| 39.34 | 16 | 1 3 2 |
| 45.66 | 20 | 2 2 2 |
| 53.60 | 16 | 1 4 3 |
| 59.78 | 20 | 3 3 0 |



# 4
Pm6Au5: theoretical X-ray diffraction stick pattern (Cu Ka), based on a DFT-relaxed cell (PBE, Alexandria).
Kinematic intensities with the Lorentz-polarization factor, no thermal factor.

Crystal structure
a b c (Å): 5.1835 7.3722 15.5260
angles (deg): 90.00 90.00 90.00
Space group Immm (No. 71)
One atom of each set of equivalent atoms:
1 Pm 0.0000 0.2486 0.0000
2 Pm 0.0000 0.2504 0.3342
3 Au 0.0000 0.0000 0.1689
4 Au 0.0000 0.5000 0.1606
5 Au 0.0000 0.5000 0.5000

The 10 most intense peaks (10° ≤ 2θ ≤ 90°), by angle:
| 2θ/deg | I_rel | index |
| --- | --- | --- |
| 13.30 | 4 | 0 1 1 |
| 34.54 | 100 | 2 0 0 |
| 34.67 | 20 | 0 0 6 |
| 49.45 | 7 | 0 4 0 |
| 49.79 | 14 | 2 0 6 |
| 61.78 | 15 | 2 4 0 |
| 62.00 | 29 | 3 2 3 |
| 72.81 | 9 | 2 4 6 |
| 82.88 | 7 | 1 6 3 |
| 83.40 | 10 | 4 0 6 |